(1)
Tl2CdGeTe4: simulated powder diffraction line list (CuKα), based on DFT lattice parameters and positions (GGA-PBE).

The 10 most intense peaks (2θ = 10–80°), in order of rising 2θ:
17.36°, I = 37; 22.07°, I = 94; 25.04°, I = 100; 26.80°, I = 24; 33.32°, I = 67; 33.62°, I = 49; 41.20°, I = 26; 42.13°, I = 56; 44.34°, I = 23; 48.82°, I = 24

```
Tl2CdGeTe4
1.0
8.7652 0.0000 0.0000
0.0000 10.2161 0.0000
0.0000 0.0000 7.1117
Tl Cd Ge Te
4 2 2 8
Direct
0.2171 0.1595 0.0000 Tl
0.2829 0.8405 0.5000 Tl
0.7171 0.8405 0.5000 Tl
0.7829 0.1595 0.0000 Tl
0.0000 0.3783 0.4502 Cd
0.5000 0.6217 0.9502 Cd
0.0000 0.6571 0.9334 Ge
0.5000 0.3429 0.4334 Ge
0.0000 0.4151 0.0470 Te
0.0000 0.6470 0.5640 Te
0.2426 0.7921 0.0337 Te
0.2574 0.2079 0.5337 Te
0.5000 0.3530 0.0640 Te
0.5000 0.5849 0.5470 Te
0.7426 0.2079 0.5337 Te
0.7574 0.7921 0.0337 Te
```

(2)
Ho3PdPb2: simulated powder diffraction line list (CuKα), based on DFT lattice parameters and positions (GGA-PBE).

The 10 most intense peaks (2θ = 10–80°), in order of rising 2θ:
28.87°, I = 81; 30.34°, I = 100; 31.22°, I = 36; 33.06°, I = 53; 33.26°, I = 89; 36.16°, I = 87; 37.50°, I = 61; 39.56°, I = 90; 39.69°, I = 51; 44.96°, I = 36

```
Ho3PdPb2
1.0
12.2624 0.0000 0.0000
0.0000 4.5560 0.0000
0.0000 0.0000 11.5906
Ho Pd Pb
12 4 8
Direct
0.0540 0.2500 0.1316 Ho
0.1262 0.7500 0.5546 Ho
0.2380 0.2500 0.7973 Ho
0.2620 0.7500 0.2973 Ho
0.3738 0.2500 0.0546 Ho
0.4460 0.7500 0.6316 Ho
0.5540 0.2500 0.3684 Ho
0.6262 0.7500 0.9454 Ho
0.7380 0.2500 0.7027 Ho
0.7620 0.7500 0.2027 Ho
0.8738 0.2500 0.4454 Ho
0.9460 0.7500 0.8684 Ho
0.1226 0.2500 0.3744 Pd
0.3774 0.7500 0.8744 Pd
0.6226 0.2500 0.1256 Pd
0.8774 0.7500 0.6256 Pd
0.0045 0.2500 0.6912 Pb
0.1818 0.7500 0.0045 Pb
0.3182 0.2500 0.5045 Pb
0.4955 0.7500 0.1912 Pb
0.5045 0.2500 0.8088 Pb
0.6818 0.7500 0.4955 Pb
0.8182 0.2500 0.9955 Pb
0.9955 0.7500 0.3088 Pb
```

(3)
Ac6Tl3Pb: simulated powder diffraction line list (CuKα), based on DFT lattice parameters and positions (GGA-PBE).

The 10 most intense peaks (2θ = 10–80°), in order of rising 2θ:
25.50°, I = 36; 28.44°, I = 27; 28.70°, I = 100; 29.90°, I = 15; 31.95°, I = 22; 33.81°, I = 18; 34.75°, I = 12; 34.96°, I = 17; 48.51°, I = 13; 57.04°, I = 15

```
Ac6Tl3Pb
1.0
5.9749 -8.1684 0.0000
5.9749 8.1684 0.0000
0.0000 0.0000 8.1107
Ac Tl Pb
12 6 2
Direct
0.0371 0.9629 0.5000 Ac
0.1250 0.5097 0.9760 Ac
0.2283 0.3184 0.3373 Ac
0.2981 0.7019 0.4829 Ac
0.3184 0.2283 0.8373 Ac
0.4903 0.8750 0.9760 Ac
0.5097 0.1250 0.4760 Ac
0.6816 0.7717 0.3373 Ac
0.7019 0.2981 0.9829 Ac
0.7717 0.6816 0.8373 Ac
0.8750 0.4903 0.4760 Ac
0.9629 0.0371 0.0000 Ac
0.0056 0.2735 0.6846 Tl
0.2735 0.0056 0.1846 Tl
0.4763 0.5237 0.0808 Tl
0.5237 0.4763 0.5808 Tl
0.7265 0.9944 0.6846 Tl
0.9944 0.7265 0.1846 Tl
0.1628 0.8372 0.8233 Pb
0.8372 0.1628 0.3233 Pb
```

(4)
Nd2AlZn3: simulated powder diffraction line list (CuKα), based on DFT lattice parameters and positions (GGA-PBE).

The 10 most intense peaks (2θ = 10–80°), in order of rising 2θ:
26.44°, I = 25; 28.14°, I = 12; 32.32°, I = 100; 35.13°, I = 23; 36.46°, I = 29; 40.88°, I = 21; 45.44°, I = 30; 46.53°, I = 13; 55.92°, I = 17; 67.67°, I = 12

```
Nd2AlZn3
1.0
-1.9961 2.2073 7.8307
1.9961 -2.2073 7.8307
1.9961 2.2073 -7.8307
Nd Al Zn
2 1 3
Direct
0.0000 0.0000 0.0000 Nd
0.7512 0.2512 0.5000 Nd
0.5855 0.5855 0.0000 Al
0.1657 0.6657 0.5000 Zn
0.3283 0.8283 0.5000 Zn
0.4208 0.4208 0.0000 Zn
```

(5)
Cd3O: simulated powder diffraction line list (CuKα), based on DFT lattice parameters and positions (GGA-PBE).

The 10 most intense peaks (2θ = 10–80°), in order of rising 2θ:
30.07°, I = 48; 34.04°, I = 53; 34.76°, I = 95; 38.98°, I = 100; 46.04°, I = 37; 59.76°, I = 16; 61.39°, I = 19; 64.23°, I = 17; 69.91°, I = 23; 70.59°, I = 21

```
Cd3O
1.0
-1.5770 4.4402 2.6341
1.5770 -4.4402 2.6341
1.5770 4.4402 -2.6341
Cd O
3 1
Direct
0.0000 0.0000 0.0000 Cd
0.3413 0.5249 0.8164 Cd
0.7085 0.5249 0.1836 Cd
0.3429 0.8429 0.5000 O
```

(6)
AsN2Cl4: simulated powder diffraction line list (CuKα), based on DFT lattice parameters and positions (GGA-PBE).

The 10 most intense peaks (2θ = 10–80°), in order of rising 2θ:
10.57°, I = 100; 13.43°, I = 51; 16.33°, I = 93; 17.88°, I = 24; 26.26°, I = 82; 28.82°, I = 30; 30.04°, I = 31; 30.14°, I = 57; 40.35°, I = 23; 40.46°, I = 33

```
AsN2Cl4
1.0
3.6604 0.0000 0.0000
-0.4672 6.6212 0.0000
-0.0960 -0.7739 8.3676
As N Cl
1 2 4
Direct
0.0000 0.0000 0.0000 As
0.1881 0.2500 0.4535 N
0.8119 0.7500 0.5465 N
0.0336 0.3059 0.2867 Cl
0.4751 0.8064 0.1263 Cl
0.5249 0.1936 0.8737 Cl
0.9664 0.6941 0.7133 Cl
```

(7)
RbMgRuBr6: simulated powder diffraction line list (CuKα), based on DFT lattice parameters and positions (GGA-PBE).

The 10 most intense peaks (2θ = 10–80°), in order of rising 2θ:
11.33°, I = 56; 15.07°, I = 18; 18.89°, I = 72; 28.68°, I = 100; 35.03°, I = 93; 42.29°, I = 22; 43.83°, I = 20; 46.33°, I = 36; 46.59°, I = 17; 54.22°, I = 32

```
RbMgRuBr6
1.0
6.7886 0.0000 0.0000
-3.3943 5.8791 0.0000
0.0000 0.0000 7.8099
Rb Mg Ru Br
1 1 1 6
Direct
0.0000 0.0000 0.0000 Rb
0.6667 0.3333 0.5000 Mg
0.3333 0.6667 0.5000 Ru
0.0172 0.3760 0.6882 Br
0.0172 0.6412 0.3118 Br
0.3588 0.3760 0.3118 Br
0.3588 0.9828 0.6882 Br
0.6240 0.6412 0.6882 Br
0.6240 0.9828 0.3118 Br
```

(8)
YTa2Si2: simulated powder diffraction line list (CuKα), based on DFT lattice parameters and positions (GGA-PBE).

The 10 most intense peaks (2θ = 10–80°), in order of rising 2θ:
25.72°, I = 16; 27.92°, I = 62; 31.31°, I = 21; 36.12°, I = 44; 38.32°, I = 100; 39.90°, I = 42; 52.84°, I = 28; 59.66°, I = 20; 61.19°, I = 24; 68.23°, I = 17

```
YTa2Si2
1.0
7.1451 0.0000 0.0000
0.0000 7.1451 0.0000
0.0000 0.0000 3.4639
Y Ta Si
2 4 4
Direct
0.0000 0.0000 0.0000 Y
0.5000 0.5000 0.0000 Y
0.1655 0.3345 0.5000 Ta
0.3345 0.8345 0.5000 Ta
0.6655 0.1655 0.5000 Ta
0.8345 0.6655 0.5000 Ta
0.1230 0.6230 0.0000 Si
0.3770 0.1230 0.0000 Si
0.6230 0.8770 0.0000 Si
0.8770 0.3770 0.0000 Si
```

(9)
Sr2Ga3Cu2: simulated powder diffraction line list (CuKα), based on DFT lattice parameters and positions (GGA-PBE).

The 10 most intense peaks (2θ = 10–80°), in order of rising 2θ:
15.70°, I = 50; 26.85°, I = 62; 31.55°, I = 100; 31.70°, I = 70; 36.25°, I = 94; 38.07°, I = 59; 42.35°, I = 60; 47.42°, I = 37; 48.08°, I = 33; 53.76°, I = 43

```
Sr2Ga3Cu2
1.0
5.7885 -2.1340 0.0000
5.7885 2.1340 0.0000
-1.5252 0.0000 6.7249
Sr Ga Cu
2 3 2
Direct
0.1780 0.1780 0.2292 Sr
0.8220 0.8220 0.7708 Sr
0.4320 0.4320 0.1229 Ga
0.5000 0.5000 0.5000 Ga
0.5680 0.5680 0.8771 Ga
0.0775 0.0775 0.6786 Cu
0.9225 0.9225 0.3214 Cu
```

(10)
InRu2W: simulated powder diffraction line list (CuKα), based on DFT lattice parameters and positions (GGA-PBE).

The 10 most intense peaks (2θ = 10–80°), in order of rising 2θ:
37.57°, I = 61; 40.22°, I = 100; 40.65°, I = 97; 41.61°, I = 45; 57.29°, I = 35; 59.72°, I = 15; 69.29°, I = 20; 70.17°, I = 19; 74.99°, I = 16; 75.28°, I = 16

```
InRu2W
1.0
2.8712 -4.3411 0.0000
2.8712 4.3411 0.0000
-1.1620 0.0000 2.5827
In Ru W
1 2 1
Direct
0.0000 0.0000 0.0000 In
0.0000 0.5000 0.5000 Ru
0.5000 0.0000 0.5000 Ru
0.5000 0.5000 0.0000 W
```

(11)
LiSiGe2N4: simulated powder diffraction line list (CuKα), based on DFT lattice parameters and positions (GGA-PBE).

The 10 most intense peaks (2θ = 10–80°), in order of rising 2θ:
21.76°, I = 61; 25.82°, I = 39; 28.32°, I = 32; 34.01°, I = 100; 36.00°, I = 100; 38.70°, I = 38; 44.83°, I = 38; 60.30°, I = 53; 65.81°, I = 31; 69.50°, I = 24

```
LiSiGe2N4
1.0
0.0000 3.4505 4.0843
3.1513 0.0000 4.0843
3.1513 3.4505 0.0000
Li Si Ge N
1 1 2 4
Direct
0.0000 0.0000 0.0000 Li
0.4960 0.4960 0.5040 Si
0.2553 0.2553 0.2447 Ge
0.7553 0.7553 0.7447 Ge
0.1433 0.5919 0.8567 N
0.4010 0.8312 0.1688 N
0.5919 0.1433 0.4081 N
0.8312 0.4010 0.5990 N
```